Structure and computed PXRD pattern of Co2P2H4PbO10 (a DFT-relaxed cell (GGA+U, OQMD); Cu Kα X-rays).

Crystal structure
Cell: 7.385 6.241 8.882 Å, 90.00 114.00 90.00°
Fractional coordinates of all 38 atoms:
Co 0.000 0.000 0.000
Co 0.000 0.000 0.500
Co 0.000 0.500 0.000
Co 0.000 0.500 0.500
P 0.276 0.250 0.326
P 0.292 0.750 0.838
P 0.708 0.250 0.162
P 0.724 0.750 0.674
H 0.048 0.250 0.781
H 0.199 0.750 0.391
H 0.258 0.250 0.964
H 0.405 0.750 0.618
H 0.595 0.250 0.382
H 0.742 0.750 0.036
H 0.801 0.250 0.609
H 0.952 0.750 0.219
Pb 0.495 0.250 0.764
Pb 0.505 0.750 0.236
O 0.067 0.750 0.391
O 0.108 0.250 0.912
O 0.158 0.750 0.936
O 0.181 0.250 0.452
O 0.235 0.044 0.224
O 0.235 0.456 0.224
O 0.252 0.550 0.723
O 0.252 0.950 0.723
O 0.490 0.750 0.556
O 0.491 0.250 0.035
O 0.509 0.750 0.965
O 0.510 0.250 0.444
O 0.748 0.050 0.277
O 0.748 0.450 0.277
O 0.765 0.544 0.776
O 0.765 0.956 0.776
O 0.819 0.750 0.548
O 0.842 0.250 0.064
O 0.892 0.750 0.088
O 0.933 0.250 0.609

Main lines, in order of rising 2θ (2θ from 10° to 90°):
hkl 1 1 -1, 19.44°, rel. 100
hkl 1 0 -2, 20.45°, rel. 69
hkl 2 1 -1, 28.08°, rel. 82
hkl 1 0 2, 29.96°, rel. 66
hkl 1 2 0, 31.59°, rel. 85
hkl 2 2 -2, 39.47°, rel. 53